# Sr2Ca4Ni
Computed powder diffractogram, Cu Kα X-rays. Input: a cell relaxed with PBE.
Kinematic intensities with the Lorentz-polarization factor, no thermal factor.

```
data_Sr2Ca4Ni
_space_group_name_H-M_alt 'I 4/m m m'
_space_group_IT_number 139
_space_group_name_Hall '-I 4 2'
_cell_length_a 5.4965
_cell_length_b 5.4965
_cell_length_c 20.0865
_cell_angle_alpha 90.00
_cell_angle_beta 90.00
_cell_angle_gamma 90.00
loop_
_atom_site_label
_atom_site_type_symbol
_atom_site_fract_x
_atom_site_fract_y
_atom_site_fract_z
Sr1 Sr 0.0000 0.0000 0.1731
Ca1 Ca 0.0000 0.0000 0.3665
Ca2 Ca 0.0000 0.5000 0.0000
Ni1 Ni 0.0000 0.0000 0.5000
```

Main lines, most intense first (5 to 70 degrees two-theta):
| 2θ/deg | d/Å | I/Imax |
| --- | --- | --- |
| 20.91 | 4.248 | 100 |
| 32.58 | 2.748 | 96 |
| 22.88 | 3.887 | 82 |
| 42.56 | 2.124 | 64 |
| 26.63 | 3.348 | 59 |
| 29.05 | 3.074 | 42 |
| 39.03 | 2.308 | 41 |
| 24.56 | 3.625 | 40 |
| 46.74 | 1.943 | 33 |
| 43.78 | 2.068 | 32 |
| 55.62 | 1.652 | 31 |
| 54.61 | 1.681 | 30 |

---

# SrCa3Ni
Computed powder diffractogram, Cu Kα X-rays. Input: a cell relaxed with PBE.
Kinematic intensities with the Lorentz-polarization factor, no thermal factor.

```
data_SrCa3Ni
_space_group_name_H-M_alt 'P 1 21/m 1'
_space_group_IT_number 11
_space_group_name_Hall '-P 2yb'
_cell_length_a 6.7297
_cell_length_b 7.2007
_cell_length_c 7.3904
_cell_angle_alpha 90.00
_cell_angle_beta 90.74
_cell_angle_gamma 90.00
loop_
_atom_site_label
_atom_site_type_symbol
_atom_site_fract_x
_atom_site_fract_y
_atom_site_fract_z
Sr1 Sr 0.0930 0.2500 0.3844
Ca1 Ca 0.0930 0.7500 0.1206
Ca2 Ca 0.4240 0.0013 0.7420
Ni1 Ni 0.3159 0.7500 0.4482
```

Main lines, most intense first (5 to 70 degrees two-theta):
| 2θ/deg | d/Å | I/Imax |
| --- | --- | --- |
| 11.98 | 7.390 | 100 |
| 28.11 | 3.175 | 68 |
| 30.40 | 2.940 | 62 |
| 31.62 | 2.830 | 51 |
| 29.30 | 3.048 | 34 |
| 34.79 | 2.579 | 34 |
| 29.02 | 3.077 | 32 |
| 37.23 | 2.415 | 28 |
| 30.72 | 2.910 | 28 |
| 49.58 | 1.839 | 24 |
| 27.56 | 3.237 | 24 |
| 27.13 | 3.287 | 24 |

---

# Ca2NiTe4
Computed powder diffractogram, Cu Kα X-rays. Input: a cell relaxed with PBE.
Kinematic intensities with the Lorentz-polarization factor, no thermal factor.

```
data_Ca2NiTe4
_space_group_name_H-M_alt 'I 4/m m m'
_space_group_IT_number 139
_space_group_name_Hall '-I 4 2'
_cell_length_a 5.2565
_cell_length_b 5.2565
_cell_length_c 15.2706
_cell_angle_alpha 90.00
_cell_angle_beta 90.00
_cell_angle_gamma 90.00
loop_
_atom_site_label
_atom_site_type_symbol
_atom_site_fract_x
_atom_site_fract_y
_atom_site_fract_z
Ca1 Ca 0.0000 0.0000 0.1300
Ni1 Ni 0.0000 0.0000 0.5000
Te1 Te 0.0000 0.0000 0.3320
Te2 Te 0.0000 0.5000 0.0000
```

Main lines, most intense first (5 to 70 degrees two-theta):
| 2θ/deg | d/Å | I/Imax |
| --- | --- | --- |
| 34.11 | 2.628 | 100 |
| 26.67 | 3.342 | 91 |
| 33.65 | 2.663 | 73 |
| 49.88 | 1.828 | 54 |
| 11.59 | 7.635 | 52 |
| 17.85 | 4.970 | 39 |
| 35.26 | 2.545 | 36 |
| 49.02 | 1.858 | 35 |
| 33.95 | 2.641 | 30 |
| 61.81 | 1.501 | 28 |
| 60.77 | 1.524 | 26 |
| 56.67 | 1.624 | 22 |

---

# CaNiTe
Computed powder diffractogram, Cu Kα X-rays. Input: a cell relaxed with PBE.
Kinematic intensities with the Lorentz-polarization factor, no thermal factor.

```
data_CaNiTe
_space_group_name_H-M_alt 'C 1 2 1'
_space_group_IT_number 5
_space_group_name_Hall 'C 2y'
_cell_length_a 4.9620
_cell_length_b 7.6570
_cell_length_c 7.5278
_cell_angle_alpha 90.00
_cell_angle_beta 97.08
_cell_angle_gamma 90.00
loop_
_atom_site_label
_atom_site_type_symbol
_atom_site_fract_x
_atom_site_fract_y
_atom_site_fract_z
Ca1 Ca 0.0471 0.0000 0.2374
Ni1 Ni 0.1095 0.3585 0.3669
Te1 Te 0.0000 0.3483 0.0000
Te2 Te 0.0000 0.6640 0.5000
```

Main lines, most intense first (5 to 70 degrees two-theta):
| 2θ/deg | d/Å | I/Imax |
| --- | --- | --- |
| 39.78 | 2.266 | 100 |
| 23.46 | 3.793 | 96 |
| 33.94 | 2.641 | 65 |
| 40.28 | 2.239 | 62 |
| 21.45 | 4.142 | 54 |
| 43.35 | 2.087 | 48 |
| 36.49 | 2.462 | 43 |
| 44.16 | 2.051 | 40 |
| 26.15 | 3.407 | 38 |
| 11.85 | 7.470 | 37 |
| 30.52 | 2.929 | 35 |
| 33.52 | 2.674 | 30 |

---

What did the first record say?
# Sr2Ca4Ni
Computed powder diffractogram, Cu Kα X-rays. Input: a cell relaxed with PBE.
Kinematic intensities with the Lorentz-polarization factor, no thermal factor.

```
data_Sr2Ca4Ni
_space_group_name_H-M_alt 'I 4/m m m'
_space_group_IT_number 139
_space_group_name_Hall '-I 4 2'
_cell_length_a 5.4965
_cell_length_b 5.4965
_cell_length_c 20.0865
_cell_angle_alpha 90.00
_cell_angle_beta 90.00
_cell_angle_gamma 90.00
loop_
_atom_site_label
_atom_site_type_symbol
_atom_site_fract_x
_atom_site_fract_y
_atom_site_fract_z
Sr1 Sr 0.0000 0.0000 0.1731
Ca1 Ca 0.0000 0.0000 0.3665
Ca2 Ca 0.0000 0.5000 0.0000
Ni1 Ni 0.0000 0.0000 0.5000
```

Main lines, most intense first (5 to 70 degrees two-theta):
| 2θ/deg | d/Å | I/Imax |
| --- | --- | --- |
| 20.91 | 4.248 | 100 |
| 32.58 | 2.748 | 96 |
| 22.88 | 3.887 | 82 |
| 42.56 | 2.124 | 64 |
| 26.63 | 3.348 | 59 |
| 29.05 | 3.074 | 42 |
| 39.03 | 2.308 | 41 |
| 24.56 | 3.625 | 40 |
| 46.74 | 1.943 | 33 |
| 43.78 | 2.068 | 32 |
| 55.62 | 1.652 | 31 |
| 54.61 | 1.681 | 30 |